No. 1
Structure and calculated X-ray powder pattern of Er12Tm3In (a structure optimized by DFT (GGA-PBE); Cu Ka).

Main lines, low angle first (10 to 80 degrees two-theta):
d (Å)  two_theta  I_rel
2.840  31.5  100
2.480  36.2  17
2.450  36.7  33
1.743  52.5  24
1.732  52.8  12
1.492  62.2  14
1.479  62.8  28
1.420  65.8  12
1.240  76.9  2
1.225  78.0  4

Structural model:
```
data_Er12Tm3In
_chemical_formula_sum 'Er12 Tm3 In1'
_cell_length_a 4.9000
_cell_length_b 4.9000
_cell_length_c 19.8386
_cell_angle_alpha 90.00
_cell_angle_beta 90.00
_cell_angle_gamma 90.00
_space_group_name_H-M_alt 'P 4/m m m'
_space_group_IT_number 123
_space_group_name_Hall '-P 4 2'
loop_
_atom_site_label
_atom_site_type_symbol
_atom_site_fract_x
_atom_site_fract_y
_atom_site_fract_z
_atom_site_occupancy
Er1 Er 0.0000 0.0000 0.0000 1
Er2 Er 0.0000 0.0000 0.2451 1
Er3 Er 0.0000 0.0000 0.5000 1
Er4 Er 0.0000 0.5000 0.1218 1
Er5 Er 0.0000 0.5000 0.3736 1
Tm1 Tm 0.5000 0.5000 0.2486 1
Tm2 Tm 0.5000 0.5000 0.5000 1
In1 In 0.5000 0.5000 0.0000 1
```

***

No. 2
Structure and calculated X-ray powder pattern of Zn2Hg2Pt (a structure optimized by DFT (GGA-PBE); Cu Ka).

Main lines, low angle first (10 to 80 degrees two-theta):
d (Å)  two_theta  I_rel
3.192  28.0  33
2.976  30.0  18
2.641  33.9  48
2.455  36.6  100
2.353  38.3  12
2.172  41.6  28
2.105  43.0  42
1.512  61.3  46
1.475  63.0  15
1.302  72.6  14

Structural model:
```
data_Zn2Hg2Pt
_chemical_formula_sum 'Zn4 Hg4 Pt2'
_cell_length_a 6.6550
_cell_length_b 6.6550
_cell_length_c 4.3435
_cell_angle_alpha 90.00
_cell_angle_beta 90.00
_cell_angle_gamma 90.00
_space_group_name_H-M_alt 'P 4/m b m'
_space_group_IT_number 127
_space_group_name_Hall '-P 4 2ab'
loop_
_atom_site_label
_atom_site_type_symbol
_atom_site_fract_x
_atom_site_fract_y
_atom_site_fract_z
_atom_site_occupancy
Zn1 Zn 0.1431 0.3569 0.0000 1
Hg1 Hg 0.1673 0.6673 0.5000 1
Pt1 Pt 0.0000 0.0000 0.0000 1
```